Diffraction record for LaCeMnN4. The X-ray powder pattern is simulated, not measured: it uses a cell relaxed with GGA-PBE and Cu Kα (weighted mean of Kα1 and Kα2).
Peak positions follow from Bragg's law for the DFT cell and can differ from measured ones.

Structural model:
```
LaCeMnN4
1.0
3.699 0.000 0.000
0.000 3.699 0.000
0.000 0.000 13.006
La Ce Mn N
2 2 2 8
direct
0.000 0.000 0.000
0.500 0.500 0.500
0.000 0.000 0.710
0.500 0.500 0.210
0.000 0.000 0.339
0.500 0.500 0.839
0.000 0.000 0.190
0.000 0.000 0.540
0.000 0.500 0.347
0.000 0.500 0.847
0.500 0.000 0.347
0.500 0.000 0.847
0.500 0.500 0.040
0.500 0.500 0.690
```

The 8 most intense peaks (10° ≤ 2θ ≤ 80°), low angle first:
Position (°2θ)	Rel. int.
25.03	23
31.80	100
34.28	57
44.45	25
49.26	26
55.02	14
55.33	14
59.83	33

Diffraction record for Li15Ag2Pt2. The X-ray powder pattern is simulated, not measured: it uses a cell relaxed with GGA-PBE and Cu Kα (weighted mean of Kα1 and Kα2).
Peak positions follow from Bragg's law for the DFT cell and can differ from measured ones.

Structural model:
```
Li15Ag2Pt2
1.0
4.079 2.355 5.246
-4.079 2.355 5.246
0.000 -4.710 5.246
Li Ag Pt
15 2 2
direct
0.000 0.000 0.500
0.000 0.277 0.723
0.000 0.500 0.000
0.000 0.723 0.277
0.185 0.562 0.562
0.277 0.000 0.723
0.277 0.723 0.000
0.438 0.438 0.815
0.438 0.815 0.438
0.500 0.000 0.000
0.562 0.185 0.562
0.562 0.562 0.185
0.723 0.000 0.277
0.723 0.277 0.000
0.815 0.438 0.438
0.282 0.282 0.282
0.718 0.718 0.718
0.093 0.093 0.093
0.907 0.907 0.907
```

The 8 most intense peaks (10° ≤ 2θ ≤ 80°), low angle first:
Position (°2θ)	Rel. int.
13.74	60
21.79	100
31.11	35
34.06	16
38.26	51
40.90	25
44.47	45
60.03	19

What did the first record say?
Diffraction record for LaCeMnN4. The X-ray powder pattern is simulated, not measured: it uses a cell relaxed with GGA-PBE and Cu Kα (weighted mean of Kα1 and Kα2).
Peak positions follow from Bragg's law for the DFT cell and can differ from measured ones.

Structural model:
```
LaCeMnN4
1.0
3.699 0.000 0.000
0.000 3.699 0.000
0.000 0.000 13.006
La Ce Mn N
2 2 2 8
direct
0.000 0.000 0.000
0.500 0.500 0.500
0.000 0.000 0.710
0.500 0.500 0.210
0.000 0.000 0.339
0.500 0.500 0.839
0.000 0.000 0.190
0.000 0.000 0.540
0.000 0.500 0.347
0.000 0.500 0.847
0.500 0.000 0.347
0.500 0.000 0.847
0.500 0.500 0.040
0.500 0.500 0.690
```

The 8 most intense peaks (10° ≤ 2θ ≤ 80°), low angle first:
Position (°2θ)	Rel. int.
25.03	23
31.80	100
34.28	57
44.45	25
49.26	26
55.02	14
55.33	14
59.83	33